Er5Pd3: calculated powder X-ray diffraction pattern (Cu Kα (λ = 1.5418 Å)), based on a cell relaxed with PBE.
Lines closer than 0.1° are merged.

The 6 most intense peaks (10 to 90 degrees two-theta), in order of rising 2θ:
2θ (°)	d (Å)	I (rel.)
29.19	3.060	48
29.37	3.041	17
32.45	2.759	40
33.63	2.665	35
36.37	2.470	100
37.47	2.400	18

Atomic structure:
```
data_Er5Pd3
_cell_length_a 11.0539
_cell_length_b 11.0539
_cell_length_c 6.3269
_cell_angle_alpha 90.00
_cell_angle_beta 90.00
_cell_angle_gamma 90.00
_space_group_name_H-M_alt 'P 4/n c c'
_space_group_IT_number 130
loop_
_space_group_symop_operation_xyz
'x,y,z'
'-x,-y,-z'
'-y+1/2,x,z'
'y+1/2,-x,-z'
'-x+1/2,-y+1/2,z'
'x+1/2,y+1/2,-z'
'y,-x+1/2,z'
'-y,x+1/2,-z'
'x+1/2,-y,-z+1/2'
'-x+1/2,y,z+1/2'
'-y,-x,-z+1/2'
'y,x,z+1/2'
'-x,y+1/2,-z+1/2'
'x,-y+1/2,z+1/2'
'y+1/2,x+1/2,-z+1/2'
'-y+1/2,-x+1/2,z+1/2'
loop_
_atom_site_label
_atom_site_fract_x
_atom_site_fract_y
_atom_site_fract_z
Er1 0.0410 0.1612 0.1302
Er2 0.2500 0.7500 0.0000
Pd1 0.0946 0.5946 0.7500
Pd2 0.2500 0.2500 0.3882
```